(1)
Diffraction record for VN2Cl6. The XRD peak list is simulated, not measured: it uses a GGA-PBE-relaxed structure and Cu Kα (λ = 1.5418 Å).
No peak broadening, texture or thermal motion is included.

Main lines, by angle (2θ = 5–70°):
2theta	Rel. int.
15.79	88
18.26	77
30.50	16
31.90	91
37.00	100
41.55	28
48.68	23
53.32	56
63.49	23
66.67	17

Cell lengths 6.8726, 6.8726, 6.8726 Å; angles 60.00, 60.00, 60.00 degrees
Fractional coordinates of all 9 atoms:
V (0.0000, 0.0000, 0.0000)
N (0.2500, 0.2500, 0.2500)
N (0.7500, 0.7500, 0.7500)
Cl (0.2322, 0.2322, 0.7678)
Cl (0.2322, 0.7678, 0.2322)
Cl (0.2322, 0.7678, 0.7678)
Cl (0.7678, 0.2322, 0.2322)
Cl (0.7678, 0.2322, 0.7678)
Cl (0.7678, 0.7678, 0.2322)

---

(2)
Diffraction record for Zr2BIr6. The XRD peak list is simulated, not measured: it uses a GGA-PBE-relaxed structure and Cu Kα (λ = 1.5418 Å).
No peak broadening, texture or thermal motion is included.

Main lines, by angle (2θ = 5–70°):
2theta	Rel. int.
21.60	5
22.18	2
30.74	2
31.16	3
38.23	100
44.03	35
45.25	16
54.92	1
64.02	11
64.97	21

Cell lengths 4.1135, 4.1135, 8.0161 Å; angles 90.00, 90.00, 90.00 degrees
Fractional coordinates of all 9 atoms:
Zr (0.0000, 0.0000, 0.2384)
Zr (0.0000, 0.0000, 0.7616)
B (0.5000, 0.5000, 0.5000)
Ir (0.0000, 0.5000, 0.0000)
Ir (0.0000, 0.5000, 0.5000)
Ir (0.5000, 0.0000, 0.0000)
Ir (0.5000, 0.0000, 0.5000)
Ir (0.5000, 0.5000, 0.2386)
Ir (0.5000, 0.5000, 0.7614)

---

(3)
Diffraction record for CsSbF6. The XRD peak list is simulated, not measured: it uses a GGA-PBE-relaxed structure and Cu Kα (λ = 1.5418 Å).
No peak broadening, texture or thermal motion is included.

Main lines, by angle (2θ = 5–70°):
2theta	Rel. int.
21.90	100
24.77	74
33.29	22
38.41	15
40.21	58
44.65	13
51.73	14
55.95	22
60.33	14
61.63	11

Cell lengths 5.4537, 5.4537, 5.4537 Å; angles 96.19, 96.19, 96.19 degrees
Fractional coordinates of all 8 atoms:
Cs (0.0000, 0.0000, 0.0000)
Sb (0.5000, 0.5000, 0.5000)
F (0.2151, 0.5810, 0.2990)
F (0.2990, 0.2151, 0.5810)
F (0.4190, 0.7010, 0.7849)
F (0.5810, 0.2990, 0.2151)
F (0.7010, 0.7849, 0.4190)
F (0.7849, 0.4190, 0.7010)

---

(4)
Diffraction record for Hf3Mg. The XRD peak list is simulated, not measured: it uses a GGA-PBE-relaxed structure and Cu Kα (λ = 1.5418 Å).
No peak broadening, texture or thermal motion is included.

Main lines, by angle (2θ = 5–70°):
2theta	Rel. int.
19.81	7
22.44	22
35.02	100
36.30	7
40.25	17
40.86	33
47.11	6
58.69	23
59.16	11
69.78	14

Cell lengths 5.4627, 5.4627, 5.4627 Å; angles 132.31, 132.31, 69.75 degrees
Fractional coordinates of all 4 atoms:
Hf (0.0000, 0.0000, 0.0000)
Hf (0.2500, 0.7500, 0.5000)
Hf (0.7500, 0.2500, 0.5000)
Mg (0.5000, 0.5000, 0.0000)